No. 1
Starting from a GGA-PBE-relaxed structure, the XRD peak list of Tb3Pm3Au4 was simulated for Cu Kα.
Intensities are scaled so that the largest is 100.

Crystal structure
```
data_Tb3Pm3Au4
_chemical_formula_sum 'Tb3 Pm3 Au4'
_symmetry_space_group_name_H-M 'P 1'
_symmetry_Int_Tables_number 1
_cell_length_a 3.8700
_cell_length_b 8.2882
_cell_length_c 8.2882
_cell_angle_alpha 90.86
_cell_angle_beta 90.00
_cell_angle_gamma 90.00
loop_
_symmetry_equiv_pos_as_xyz
'x,y,z'
loop_
_atom_site_label
_atom_site_fract_x
_atom_site_fract_y
_atom_site_fract_z
_atom_site_occupancy
Tb1 0.0000 0.0000 0.0000 1
Tb2 0.5000 0.3320 0.8300 1
Tb3 0.5000 0.8300 0.3320 1
Pm1 0.0000 0.1650 0.4952 1
Pm2 0.0000 0.4952 0.1650 1
Pm3 0.0000 0.6710 0.6710 1
Au1 0.5000 0.1986 0.1986 1
Au2 0.5000 0.4630 0.4630 1
Au3 0.5000 0.7085 0.9676 1
Au4 0.5000 0.9676 0.7085 1
```

Largest 12 diffraction maxima, in order of rising 2θ, 2θ from 10° to 90°:
2θ (°)  Rel. int.
23.0  15
31.6  32
33.4  98
33.6  100
34.1  49
34.4  46
46.2  15
46.9  32
59.3  20
59.5  19
64.9  17
65.6  17

***

No. 2
Starting from a GGA-PBE-relaxed structure, the XRD peak list of Pm5Te4Au was simulated for Cu Kα.
Intensities are scaled so that the largest is 100.

Crystal structure
```
data_Pm5Te4Au
_chemical_formula_sum 'Pm5 Te4 Au1'
_symmetry_space_group_name_H-M 'P 1'
_symmetry_Int_Tables_number 1
_cell_length_a 7.6775
_cell_length_b 7.6775
_cell_length_c 7.6775
_cell_angle_alpha 99.71
_cell_angle_beta 99.71
_cell_angle_gamma 131.50
loop_
_symmetry_equiv_pos_as_xyz
'x,y,z'
loop_
_atom_site_label
_atom_site_fract_x
_atom_site_fract_y
_atom_site_fract_z
_atom_site_occupancy
Pm1 0.0000 0.0000 0.0000 1
Pm2 0.2139 0.5994 0.8133 1
Pm3 0.4006 0.2139 0.6145 1
Pm4 0.5994 0.7861 0.3855 1
Pm5 0.7861 0.4006 0.1867 1
Te1 0.0929 0.3046 0.3975 1
Te2 0.3046 0.9071 0.2117 1
Te3 0.6954 0.0929 0.7883 1
Te4 0.9071 0.6954 0.6025 1
Au1 0.5000 0.5000 0.0000 1
```

Largest 12 diffraction maxima, in order of rising 2θ, 2θ from 10° to 90°:
2θ (°)  Rel. int.
28.3  52
28.5  100
40.6  77
40.8  38
50.4  41
59.0  12
66.4  18
66.7  17
66.8  17
73.8  13
74.1  25
87.9  8

***

No. 3
Starting from a GGA-PBE-relaxed structure, the XRD peak list of PmTe2Au was simulated for Cu Kα.
Intensities are scaled so that the largest is 100.

Crystal structure
```
data_PmTe2Au
_chemical_formula_sum 'Pm4 Te8 Au4'
_symmetry_space_group_name_H-M 'P 1'
_symmetry_Int_Tables_number 1
_cell_length_a 6.7593
_cell_length_b 7.8770
_cell_length_c 8.5841
_cell_angle_alpha 90.00
_cell_angle_beta 90.04
_cell_angle_gamma 90.00
loop_
_symmetry_equiv_pos_as_xyz
'x,y,z'
loop_
_atom_site_label
_atom_site_fract_x
_atom_site_fract_y
_atom_site_fract_z
_atom_site_occupancy
Pm1 0.1788 0.0429 0.2503 1
Pm2 0.1788 0.4571 0.7503 1
Pm3 0.8212 0.5429 0.2497 1
Pm4 0.8212 0.9571 0.7497 1
Te1 0.0810 0.7501 0.0000 1
Te2 0.0810 0.7499 0.5000 1
Te3 0.3622 0.0758 0.7503 1
Te4 0.3622 0.4242 0.2503 1
Te5 0.6378 0.5758 0.7497 1
Te6 0.6378 0.9242 0.2497 1
Te7 0.9190 0.2499 0.0000 1
Te8 0.9190 0.2501 0.5000 1
Au1 0.4972 0.2504 0.0003 1
Au2 0.4972 0.2496 0.5003 1
Au3 0.5028 0.7496 0.9997 1
Au4 0.5028 0.7504 0.4997 1
```

Largest 12 diffraction maxima, in order of rising 2θ, 2θ from 10° to 90°:
2θ (°)  Rel. int.
13.1  14
27.1  19
30.6  36
30.8  100
33.8  41
35.0  33
36.7  14
42.1  28
43.0  15
51.3  12
55.9  17
58.3  11

***

No. 4
Starting from a GGA-PBE-relaxed structure, the XRD peak list of Pm2Te5Au was simulated for Cu Kα.
Intensities are scaled so that the largest is 100.

Crystal structure
```
data_Pm2Te5Au
_chemical_formula_sum 'Pm4 Te10 Au2'
_symmetry_space_group_name_H-M 'P 1'
_symmetry_Int_Tables_number 1
_cell_length_a 7.7283
_cell_length_b 7.7283
_cell_length_c 13.6792
_cell_angle_alpha 90.00
_cell_angle_beta 90.00
_cell_angle_gamma 132.22
loop_
_symmetry_equiv_pos_as_xyz
'x,y,z'
loop_
_atom_site_label
_atom_site_fract_x
_atom_site_fract_y
_atom_site_fract_z
_atom_site_occupancy
Pm1 0.1768 0.8232 0.5793 1
Pm2 0.1768 0.8232 0.9207 1
Pm3 0.8232 0.1768 0.0793 1
Pm4 0.8232 0.1768 0.4207 1
Te1 0.0448 0.9552 0.1064 1
Te2 0.0448 0.9552 0.3936 1
Te3 0.3195 0.6805 0.0997 1
Te4 0.3195 0.6805 0.4003 1
Te5 0.3235 0.6765 0.7500 1
Te6 0.6765 0.3235 0.2500 1
Te7 0.6805 0.3195 0.5997 1
Te8 0.6805 0.3195 0.9003 1
Te9 0.9552 0.0448 0.6064 1
Te10 0.9552 0.0448 0.8936 1
Au1 0.1824 0.8176 0.2500 1
Au2 0.8176 0.1824 0.7500 1
```

Largest 12 diffraction maxima, in order of rising 2θ, 2θ from 10° to 90°:
2θ (°)  Rel. int.
12.5  46
15.5  45
23.2  61
28.5  77
32.0  100
37.1  36
39.5  25
43.4  85
48.4  16
49.5  26
68.8  22
74.4  22

***

Copy entry 3 word for word.
Starting from a GGA-PBE-relaxed structure, the XRD peak list of PmTe2Au was simulated for Cu Kα.
Intensities are scaled so that the largest is 100.

Crystal structure
```
data_PmTe2Au
_chemical_formula_sum 'Pm4 Te8 Au4'
_symmetry_space_group_name_H-M 'P 1'
_symmetry_Int_Tables_number 1
_cell_length_a 6.7593
_cell_length_b 7.8770
_cell_length_c 8.5841
_cell_angle_alpha 90.00
_cell_angle_beta 90.04
_cell_angle_gamma 90.00
loop_
_symmetry_equiv_pos_as_xyz
'x,y,z'
loop_
_atom_site_label
_atom_site_fract_x
_atom_site_fract_y
_atom_site_fract_z
_atom_site_occupancy
Pm1 0.1788 0.0429 0.2503 1
Pm2 0.1788 0.4571 0.7503 1
Pm3 0.8212 0.5429 0.2497 1
Pm4 0.8212 0.9571 0.7497 1
Te1 0.0810 0.7501 0.0000 1
Te2 0.0810 0.7499 0.5000 1
Te3 0.3622 0.0758 0.7503 1
Te4 0.3622 0.4242 0.2503 1
Te5 0.6378 0.5758 0.7497 1
Te6 0.6378 0.9242 0.2497 1
Te7 0.9190 0.2499 0.0000 1
Te8 0.9190 0.2501 0.5000 1
Au1 0.4972 0.2504 0.0003 1
Au2 0.4972 0.2496 0.5003 1
Au3 0.5028 0.7496 0.9997 1
Au4 0.5028 0.7504 0.4997 1
```

Largest 12 diffraction maxima, in order of rising 2θ, 2θ from 10° to 90°:
2θ (°)  Rel. int.
13.1  14
27.1  19
30.6  36
30.8  100
33.8  41
35.0  33
36.7  14
42.1  28
43.0  15
51.3  12
55.9  17
58.3  11